Starting from a cell relaxed with PBE, the powder XRD pattern of Pr3CuSnS7 was simulated for CuKα.

Crystal structure
Lattice parameters (Å, degrees): 10.228 10.228 6.142 90.00 90.00 120.00
Element x y z (fractional)
Pr 0.139 0.782 0.000
Pr 0.218 0.357 0.000
Pr 0.357 0.139 0.500
Pr 0.643 0.861 0.000
Pr 0.782 0.643 0.500
Pr 0.861 0.218 0.500
Cu 0.000 0.000 0.446
Cu 0.000 0.000 0.946
Sn 0.333 0.667 0.572
Sn 0.667 0.333 0.072
S 0.088 0.518 0.742
S 0.101 0.848 0.460
S 0.152 0.254 0.460
S 0.254 0.101 0.960
S 0.333 0.667 0.184
S 0.429 0.912 0.742
S 0.482 0.571 0.742
S 0.518 0.429 0.242
S 0.571 0.088 0.242
S 0.667 0.333 0.684
S 0.746 0.899 0.460
S 0.848 0.746 0.960
S 0.899 0.152 0.960
S 0.912 0.482 0.242

Most intense lines, 2θ = 10–80°, sorted by position:
d [Å]	I_rel
4.429	17
3.592	100
3.071	24
2.901	16
2.557	55
2.524	23
2.457	17
2.281	15
2.263	25
2.083	15
1.965	27
1.858	17

***

Starting from a cell relaxed with PBE, the powder XRD pattern of H was simulated for CuKα.

Crystal structure
Lattice parameters (Å, degrees): 7.178 7.194 7.215 90.00 90.00 90.00
Element x y z (fractional)
H 0.134 0.222 0.353
H 0.145 0.149 0.280
H 0.355 0.851 0.780
H 0.366 0.778 0.853
H 0.634 0.278 0.647
H 0.645 0.351 0.720
H 0.855 0.649 0.220
H 0.866 0.722 0.147

Most intense lines, 2θ = 10–80°, sorted by position:
d [Å]	I_rel
5.089	100
4.154	73
3.602	23
3.220	33
3.212	37
2.938	27
2.399	14
2.280	5
2.272	8
1.998	4
1.925	3
1.921	6

***

Starting from a cell relaxed with PBE, the powder XRD pattern of PmCl3 was simulated for CuKα.

Crystal structure
Lattice parameters (Å, degrees): 9.707 9.707 3.747 90.00 90.00 120.00
Element x y z (fractional)
Pm 0.333 0.667 0.250
Pm 0.667 0.333 0.750
Cl 0.214 0.427 0.750
Cl 0.214 0.786 0.750
Cl 0.427 0.214 0.250
Cl 0.573 0.786 0.750
Cl 0.786 0.214 0.250
Cl 0.786 0.573 0.250

Most intense lines, 2θ = 10–80°, sorted by position:
d [Å]	I_rel
8.407	100
4.854	66
4.203	36
3.422	15
2.798	71
2.424	61
2.332	12
1.980	32
1.834	23
1.748	9
1.618	10
1.401	15

***

Starting from a cell relaxed with PBE, the powder XRD pattern of LaCuPb was simulated for CuKα.

Crystal structure
Lattice parameters (Å, degrees): 4.747 4.747 7.913 90.00 90.00 120.00
Element x y z (fractional)
La 0.000 0.000 0.000
La 0.000 0.000 0.500
Cu 0.333 0.667 0.300
Cu 0.667 0.333 0.800
Pb 0.333 0.667 0.729
Pb 0.667 0.333 0.229

Most intense lines, 2θ = 10–80°, sorted by position:
d [Å]	I_rel
3.648	42
2.851	100
2.373	73
2.220	22
1.989	8
1.978	10
1.824	27
1.520	25
1.477	10
1.446	25
1.370	13
1.339	9

***

Starting from a cell relaxed with PBE, the powder XRD pattern of TlV6PSe7 was simulated for CuKα.

Crystal structure
Lattice parameters (Å, degrees): 9.598 9.598 3.381 90.00 90.00 120.00
Element x y z (fractional)
Tl 0.000 0.000 0.000
V 0.133 0.503 0.248
V 0.370 0.867 0.248
V 0.493 0.373 0.751
V 0.497 0.630 0.248
V 0.627 0.120 0.751
V 0.880 0.507 0.751
P 0.333 0.667 0.749
Se 0.052 0.707 0.255
Se 0.293 0.345 0.255
Se 0.344 0.046 0.745
Se 0.655 0.948 0.255
Se 0.667 0.333 0.251
Se 0.702 0.656 0.745
Se 0.954 0.298 0.745

Most intense lines, 2θ = 10–80°, sorted by position:
d [Å]	I_rel
4.156	15
3.135	39
2.768	100
2.623	31
2.303	90
1.957	37
1.905	15
1.814	9
1.661	24
1.599	19
1.492	13
1.363	10

***

Starting from a cell relaxed with PBE, the powder XRD pattern of Mg6CoSb was simulated for CuKα.

Crystal structure
Lattice parameters (Å, degrees): 4.881 6.170 6.170 60.61 90.00 90.00
Element x y z (fractional)
Mg 0.000 0.000 0.000
Mg 0.000 0.506 0.978
Mg 0.000 0.978 0.506
Mg 0.500 0.152 0.669
Mg 0.500 0.165 0.165
Mg 0.500 0.669 0.152
Co 0.500 0.673 0.673
Sb 0.000 0.504 0.504

Most intense lines, 2θ = 10–80°, sorted by position:
d [Å]	I_rel
5.376	65
3.614	27
3.599	27
2.688	26
2.608	27
2.441	37
2.355	100
2.338	49
2.222	17
1.543	16
1.392	18
1.304	18

***

Starting from a cell relaxed with PBE, the powder XRD pattern of KTiO3 was simulated for CuKα.

Crystal structure
Lattice parameters (Å, degrees): 5.799 5.799 9.653 90.00 90.00 120.00
Element x y z (fractional)
K 0.000 0.000 0.000
K 0.000 0.000 0.500
K 0.333 0.667 0.250
K 0.667 0.333 0.750
Ti 0.333 0.667 0.594
Ti 0.333 0.667 0.906
Ti 0.667 0.333 0.094
Ti 0.667 0.333 0.406
O 0.000 0.500 0.000
O 0.000 0.500 0.500
O 0.195 0.390 0.750
O 0.195 0.805 0.750
O 0.390 0.195 0.250
O 0.500 0.000 0.000
O 0.500 0.000 0.500
O 0.500 0.500 0.000
O 0.500 0.500 0.500
O 0.610 0.805 0.750
O 0.805 0.195 0.250
O 0.805 0.610 0.250

Most intense lines, 2θ = 10–80°, sorted by position:
d [Å]	I_rel
5.022	42
4.455	30
2.899	100
2.709	68
2.227	53
1.980	64
1.674	16
1.635	37
1.532	12
1.450	27
1.355	19
1.278	14